Record 1
Starting from DFT lattice parameters and positions (GGA-PBE), the powder diffractogram of PrCd6Ag4 was computed for CuKα.
Peak positions follow from Bragg's law for the DFT cell and can differ from measured ones.

```
PrCd6Ag4
1.0
7.988 0.000 0.000
-3.994 6.918 0.000
0.000 0.000 4.469
Pr Cd Ag
1 6 4
Direct
0.000 0.000 0.000
0.200 0.400 0.500
0.200 0.800 0.500
0.536 0.071 0.000
0.536 0.464 0.000
0.600 0.800 0.500
0.929 0.464 0.000
0.333 0.667 0.000
0.403 0.202 0.500
0.798 0.202 0.500
0.798 0.597 0.500
```

Peak list (10 most intense, 2θ = 10–90°, sorted by position)
2θ (°)  d (Å)  intensity
30.0  2.978  30.0
32.7  2.735  100.0
34.3  2.615  40.9
39.9  2.257  53.8
40.4  2.234  34.2
44.2  2.049  21.7
45.4  1.997  26.5
54.0  1.699  21.5
62.4  1.489  19.8
71.4  1.322  15.8

Record 2
Starting from DFT lattice parameters and positions (GGA-PBE), the powder diffractogram of Ba9Sb3N2 was computed for CuKα.
Peak positions follow from Bragg's law for the DFT cell and can differ from measured ones.

```
Ba9Sb3N2
1.0
7.854 0.000 0.000
-3.927 6.801 0.000
0.000 0.000 9.641
Ba Sb N
9 3 2
Direct
0.000 0.500 0.000
0.172 0.344 0.675
0.172 0.828 0.675
0.344 0.172 0.325
0.500 0.000 0.000
0.500 0.500 0.000
0.656 0.828 0.675
0.828 0.172 0.325
0.828 0.656 0.325
0.000 0.000 0.000
0.333 0.667 0.333
0.667 0.333 0.667
0.333 0.667 0.820
0.667 0.333 0.180
```

Peak list (10 most intense, 2θ = 10–90°, sorted by position)
2θ (°)  d (Å)  intensity
27.8  3.209  100.0
32.2  2.779  54.9
46.2  1.965  39.2
54.8  1.676  44.1
57.5  1.604  10.1
74.3  1.276  8.9
74.5  1.274  8.9
76.6  1.243  8.4
76.7  1.242  8.6
85.7  1.134  9.9

Record 3
Starting from DFT lattice parameters and positions (GGA-PBE), the powder diffractogram of Cu2RePb was computed for CuKα.
Peak positions follow from Bragg's law for the DFT cell and can differ from measured ones.

```
Cu2RePb
1.0
5.558 0.000 0.000
0.000 8.084 0.000
-0.034 0.000 2.860
Cu Re Pb
4 2 2
Direct
0.250 0.250 0.000
0.250 0.750 0.000
0.750 0.250 0.000
0.750 0.750 0.000
0.000 0.000 0.500
0.500 0.500 0.500
0.000 0.500 0.500
0.500 0.000 0.500
```

Peak list (10 most intense, 2θ = 10–90°, sorted by position)
2θ (°)  d (Å)  intensity
22.0  4.042  45.4
31.3  2.860  19.4
38.6  2.335  100.0
39.3  2.290  94.6
44.8  2.021  32.6
45.2  2.005  31.8
45.8  1.981  30.7
65.6  1.423  20.8
66.0  1.415  20.4
78.5  1.219  25.1

Record 4
Starting from DFT lattice parameters and positions (GGA-PBE), the powder diffractogram of Ca2CuRhO6 was computed for CuKα.
Peak positions follow from Bragg's law for the DFT cell and can differ from measured ones.

```
Ca2CuRhO6
1.0
4.568 -4.626 0.000
4.568 4.626 0.000
-0.272 0.000 6.368
Ca Cu Rh O
4 2 2 12
Direct
0.000 0.000 0.000
0.285 0.343 0.381
0.657 0.715 0.619
0.797 0.203 0.500
0.212 0.788 0.500
0.561 0.439 0.000
0.400 0.101 0.761
0.899 0.600 0.239
0.015 0.581 0.536
0.123 0.176 0.681
0.182 0.715 0.214
0.285 0.818 0.786
0.380 0.225 0.046
0.419 0.985 0.464
0.519 0.394 0.708
0.606 0.481 0.292
0.691 0.025 0.796
0.775 0.620 0.954
0.824 0.877 0.319
0.975 0.309 0.204
```

Peak list (10 most intense, 2θ = 10–90°, sorted by position)
2θ (°)  d (Å)  intensity
19.2  4.621  100.0
19.8  4.481  16.9
23.8  3.742  13.8
30.6  2.924  15.5
31.3  2.859  15.2
33.6  2.670  25.0
33.6  2.665  17.2
39.5  2.282  11.3
45.3  2.000  14.6
52.5  1.742  11.5

> What is the formula in the second record?

Ba9Sb3N2

> What is the formula in the third record?

Cu2RePb

Please write out number 2 again, unchanged.
Starting from DFT lattice parameters and positions (GGA-PBE), the powder diffractogram of Ba9Sb3N2 was computed for CuKα.
Peak positions follow from Bragg's law for the DFT cell and can differ from measured ones.

```
Ba9Sb3N2
1.0
7.854 0.000 0.000
-3.927 6.801 0.000
0.000 0.000 9.641
Ba Sb N
9 3 2
Direct
0.000 0.500 0.000
0.172 0.344 0.675
0.172 0.828 0.675
0.344 0.172 0.325
0.500 0.000 0.000
0.500 0.500 0.000
0.656 0.828 0.675
0.828 0.172 0.325
0.828 0.656 0.325
0.000 0.000 0.000
0.333 0.667 0.333
0.667 0.333 0.667
0.333 0.667 0.820
0.667 0.333 0.180
```

Peak list (10 most intense, 2θ = 10–90°, sorted by position)
2θ (°)  d (Å)  intensity
27.8  3.209  100.0
32.2  2.779  54.9
46.2  1.965  39.2
54.8  1.676  44.1
57.5  1.604  10.1
74.3  1.276  8.9
74.5  1.274  8.9
76.6  1.243  8.4
76.7  1.242  8.6
85.7  1.134  9.9